Record 1
Starting from a DFT-relaxed cell (GGA-PBE, Alexandria), the powder XRD pattern of Cs2PaPd2S4 was simulated for Cu Kα (weighted mean of Kα1 and Kα2).

```
Cs2PaPd2S4
1.0
7.380 -2.040 0.000
7.380 2.040 0.000
-2.517 0.000 7.816
Cs Pa Pd S
2 1 2 4
direct
0.139 0.139 0.073
0.861 0.861 0.927
0.000 0.000 0.500
0.317 0.317 0.498
0.683 0.683 0.502
0.186 0.186 0.662
0.484 0.484 0.712
0.516 0.516 0.288
0.814 0.814 0.338
```

Main lines, most intense first (10 to 80 degrees two-theta):
2θ 22.73, I 100; 2θ 11.32, I 86; 2θ 30.92, I 85; 2θ 33.38, I 80; 2θ 28.97, I 80; 2θ 33.24, I 43; 2θ 50.24, I 35; 2θ 24.39, I 32; 2θ 44.40, I 30; 2θ 38.45, I 27



Record 2
Starting from a DFT-relaxed cell (GGA-PBE, Alexandria), the powder XRD pattern of Hf3TiTe2 was simulated for Cu Kα (weighted mean of Kα1 and Kα2).

```
Hf3TiTe2
1.0
8.003 -1.761 0.000
8.003 1.761 0.000
-4.574 0.000 9.697
Hf Ti Te
6 2 4
direct
0.050 0.050 0.200
0.256 0.256 0.668
0.396 0.396 0.983
0.604 0.604 0.017
0.744 0.744 0.332
0.950 0.950 0.800
0.436 0.436 0.336
0.564 0.564 0.664
0.172 0.172 0.858
0.381 0.381 0.541
0.619 0.619 0.459
0.828 0.828 0.142
```

Main lines, most intense first (10 to 80 degrees two-theta):
2θ 38.37, I 100; 2θ 36.25, I 94; 2θ 33.54, I 93; 2θ 36.79, I 89; 2θ 30.42, I 83; 2θ 35.70, I 80; 2θ 11.73, I 69; 2θ 28.52, I 57; 2θ 35.03, I 55; 2θ 34.66, I 53



Record 3
Starting from a DFT-relaxed cell (GGA-PBE, Alexandria), the powder XRD pattern of Dy2ThP3 was simulated for Cu Kα (weighted mean of Kα1 and Kα2).

```
Dy2ThP3
1.0
7.825 -2.012 0.000
7.825 2.012 0.000
-3.200 0.000 9.329
Dy Th P
4 2 6
direct
0.169 0.169 0.335
0.330 0.330 0.164
0.670 0.670 0.836
0.831 0.831 0.665
0.000 0.000 0.500
0.500 0.500 0.000
0.030 0.030 0.805
0.304 0.304 0.860
0.359 0.359 0.473
0.641 0.641 0.527
0.696 0.696 0.140
0.970 0.970 0.195
```

Main lines, most intense first (10 to 80 degrees two-theta):
2θ 36.39, I 100; 2θ 25.61, I 87; 2θ 25.41, I 24; 2θ 52.56, I 23; 2θ 45.20, I 21; 2θ 59.01, I 18; 2θ 59.26, I 16; 2θ 71.41, I 11; 2θ 45.05, I 11; 2θ 77.39, I 10



Record 4
Starting from a DFT-relaxed cell (GGA-PBE, Alexandria), the powder XRD pattern of Pr2SmTc2N6 was simulated for Cu Kα (weighted mean of Kα1 and Kα2).

```
Pr2SmTc2N6
1.0
2.896 1.672 6.090
-2.896 1.672 6.090
0.000 -3.344 6.090
Pr Sm Tc N
2 1 2 6
direct
0.208 0.208 0.208
0.792 0.792 0.792
0.000 0.000 0.000
0.402 0.402 0.402
0.598 0.598 0.598
0.226 0.739 0.739
0.261 0.261 0.774
0.261 0.774 0.261
0.739 0.226 0.739
0.739 0.739 0.226
0.774 0.261 0.261
```

Main lines, most intense first (10 to 80 degrees two-theta):
2θ 30.26, I 100; 2θ 30.88, I 94; 2θ 43.78, I 42; 2θ 54.53, I 39; 2θ 53.37, I 20; 2θ 54.92, I 19; 2θ 72.74, I 16; 2θ 71.75, I 16; 2θ 64.34, I 15; 2θ 62.94, I 10



Record 5
Starting from a DFT-relaxed cell (GGA-PBE, Alexandria), the powder XRD pattern of PmYHo5Tm2 was simulated for Cu Kα (weighted mean of Kα1 and Kα2).

```
PmYHo5Tm2
1.0
2.785 -9.831 0.000
2.785 9.831 0.000
0.000 0.000 10.564
Pm Y Ho Tm
2 2 10 4
direct
0.084 0.916 0.500
0.916 0.084 0.000
0.300 0.700 0.060
0.700 0.300 0.560
0.022 0.978 0.785
0.111 0.889 0.070
0.201 0.799 0.758
0.218 0.782 0.358
0.482 0.518 0.072
0.518 0.482 0.572
0.782 0.218 0.858
0.799 0.201 0.258
0.889 0.111 0.570
0.978 0.022 0.285
0.386 0.614 0.367
0.390 0.610 0.784
0.610 0.390 0.284
0.614 0.386 0.867
```

Main lines, most intense first (10 to 80 degrees two-theta):
2θ 32.62, I 100; 2θ 32.14, I 43; 2θ 30.37, I 36; 2θ 57.60, I 22; 2θ 28.52, I 17; 2θ 60.41, I 14; 2θ 61.98, I 13; 2θ 33.94, I 12; 2θ 51.46, I 11; 2θ 26.94, I 11



Record 6
Starting from a DFT-relaxed cell (GGA-PBE, Alexandria), the powder XRD pattern of HfPa2Ge2Ru5 was simulated for Cu Kα (weighted mean of Kα1 and Kα2).

```
HfPa2Ge2Ru5
1.0
9.967 0.000 0.000
0.000 9.967 0.000
0.000 0.000 3.554
Hf Pa Ge Ru
2 4 4 10
direct
0.000 0.000 0.000
0.500 0.500 0.000
0.175 0.325 0.000
0.325 0.825 0.000
0.675 0.175 0.000
0.825 0.675 0.000
0.123 0.623 0.000
0.377 0.123 0.000
0.623 0.877 0.000
0.877 0.377 0.000
0.000 0.500 0.500
0.075 0.790 0.500
0.210 0.075 0.500
0.290 0.575 0.500
0.425 0.290 0.500
0.500 0.000 0.500
0.575 0.710 0.500
0.710 0.425 0.500
0.790 0.925 0.500
0.925 0.210 0.500
```

Main lines, most intense first (10 to 80 degrees two-theta):
2θ 38.17, I 100; 2θ 37.19, I 51; 2θ 32.22, I 39; 2θ 41.38, I 26; 2θ 35.89, I 25; 2θ 40.47, I 21; 2θ 65.16, I 20; 2θ 51.43, I 20; 2θ 61.63, I 13; 2θ 38.31, I 13



Record 7
Starting from a DFT-relaxed cell (GGA-PBE, Alexandria), the powder XRD pattern of NdTeO5 was simulated for Cu Kα (weighted mean of Kα1 and Kα2).

```
NdTeO5
1.0
4.625 -3.327 0.000
4.625 3.327 0.000
-3.272 0.000 7.079
Nd Te O
2 2 10
direct
0.045 0.955 0.750
0.955 0.045 0.250
0.500 0.500 0.000
0.500 0.500 0.500
0.206 0.778 0.031
0.222 0.794 0.469
0.262 0.289 0.386
0.289 0.262 0.886
0.420 0.580 0.750
0.580 0.420 0.250
0.711 0.738 0.114
0.738 0.711 0.614
0.778 0.206 0.531
0.794 0.222 0.969
```

Main lines, most intense first (10 to 80 degrees two-theta):
2θ 26.50, I 100; 2θ 21.16, I 95; 2θ 34.15, I 59; 2θ 26.80, I 43; 2θ 51.30, I 30; 2θ 34.39, I 25; 2θ 43.09, I 20; 2θ 47.15, I 20; 2θ 52.21, I 18; 2θ 46.58, I 16



Record 8
Starting from a DFT-relaxed cell (GGA-PBE, Alexandria), the powder XRD pattern of GdErO3 was simulated for Cu Kα (weighted mean of Kα1 and Kα2).

```
GdErO3
1.0
7.567 -5.353 0.000
7.567 5.353 0.000
-7.565 0.000 7.570
Gd Er O
8 8 24
direct
0.000 0.000 0.000
0.219 0.779 0.748
0.221 0.781 0.252
0.250 0.311 0.031
0.502 0.498 0.000
0.689 0.750 0.969
0.716 0.278 0.745
0.722 0.284 0.255
0.188 0.249 0.469
0.437 0.563 0.500
0.468 0.029 0.715
0.471 0.032 0.221
0.751 0.812 0.531
0.939 0.061 0.500
0.968 0.529 0.779
0.971 0.532 0.285
0.178 0.542 0.244
0.189 0.011 0.493
0.211 0.049 0.981
0.233 0.506 0.520
0.245 0.550 0.004
0.267 0.027 0.268
0.445 0.289 0.715
0.450 0.755 0.996
0.458 0.822 0.756
0.481 0.233 0.977
0.490 0.310 0.296
0.494 0.767 0.480
0.679 0.034 0.475
0.690 0.510 0.704
0.711 0.555 0.285
0.733 0.012 0.225
0.745 0.048 0.787
0.767 0.519 0.023
0.951 0.789 0.019
0.952 0.255 0.213
0.966 0.321 0.525
0.973 0.733 0.732
0.988 0.267 0.775
0.989 0.811 0.507
```

Main lines, most intense first (10 to 80 degrees two-theta):
2θ 28.89, I 100; 2θ 48.08, I 39; 2θ 33.49, I 35; 2θ 57.08, I 32; 2θ 20.32, I 10; 2θ 77.79, I 9; 2θ 43.09, I 8; 2θ 59.86, I 7; 2θ 58.48, I 6; 2θ 35.58, I 6



Record 9
Starting from a DFT-relaxed cell (GGA-PBE, Alexandria), the powder XRD pattern of ThGaNi2H was simulated for Cu Kα (weighted mean of Kα1 and Kα2).

```
ThGaNi2H
1.0
2.035 -5.315 0.000
2.035 5.315 0.000
0.000 0.000 6.606
Th Ga Ni H
2 2 4 2
direct
0.084 0.916 0.750
0.916 0.084 0.250
0.202 0.798 0.250
0.798 0.202 0.750
0.342 0.658 0.552
0.342 0.658 0.948
0.658 0.342 0.052
0.658 0.342 0.448
0.500 0.500 0.000
0.500 0.500 0.500
```

Main lines, most intense first (10 to 80 degrees two-theta):
2θ 36.26, I 100; 2θ 36.03, I 99; 2θ 44.54, I 57; 2θ 36.44, I 55; 2θ 27.03, I 42; 2θ 23.41, I 39; 2θ 21.46, I 30; 2θ 58.85, I 28; 2θ 53.96, I 27; 2θ 43.57, I 20



Record 10
Starting from a DFT-relaxed cell (GGA-PBE, Alexandria), the powder XRD pattern of Ba3Ta2O7 was simulated for Cu Kα (weighted mean of Kα1 and Kα2).

```
Ba3Ta2O7
1.0
2.039 -13.682 0.000
2.039 13.682 0.000
0.000 0.000 4.079
Ba Ta O
3 2 7
direct
0.000 0.000 0.000
0.158 0.842 0.000
0.842 0.158 0.000
0.422 0.578 0.500
0.578 0.422 0.500
0.076 0.924 0.500
0.351 0.649 0.500
0.424 0.576 0.000
0.500 0.500 0.500
0.576 0.424 0.000
0.649 0.351 0.500
0.924 0.076 0.500
```

Main lines, most intense first (10 to 80 degrees two-theta):
2θ 31.19, I 100; 2θ 29.38, I 85; 2θ 31.71, I 59; 2θ 27.28, I 45; 2θ 44.43, I 43; 2θ 53.93, I 34; 2θ 54.17, I 32; 2θ 12.94, I 29; 2θ 55.60, I 25; 2θ 60.95, I 24



Record 11
Starting from a DFT-relaxed cell (GGA-PBE, Alexandria), the powder XRD pattern of Y2Cd2As was simulated for Cu Kα (weighted mean of Kα1 and Kα2).

```
Y2Cd2As
1.0
7.556 0.000 0.000
0.000 7.556 0.000
0.000 0.000 4.917
Y Cd As
4 4 2
direct
0.169 0.331 0.000
0.331 0.831 0.000
0.669 0.169 0.000
0.831 0.669 0.000
0.136 0.636 0.500
0.364 0.136 0.500
0.636 0.864 0.500
0.864 0.364 0.500
0.000 0.000 0.000
0.500 0.500 0.000
```

Main lines, most intense first (10 to 80 degrees two-theta):
2θ 32.14, I 100; 2θ 37.65, I 29; 2θ 36.55, I 22; 2θ 53.48, I 21; 2θ 24.60, I 19; 2θ 63.03, I 13; 2θ 69.69, I 12; 2θ 53.35, I 9; 2θ 51.85, I 6; 2θ 75.94, I 6



Record 12
Starting from a DFT-relaxed cell (GGA-PBE, Alexandria), the powder XRD pattern of MgTi3 was simulated for Cu Kα (weighted mean of Kα1 and Kα2).

```
MgTi3
1.0
2.957 0.000 0.000
-1.478 2.561 0.000
0.000 0.000 9.690
Mg Ti
1 3
direct
0.000 0.000 0.000
0.000 0.000 0.500
0.333 0.667 0.267
0.333 0.667 0.733
```

Main lines, most intense first (10 to 80 degrees two-theta):
2θ 39.82, I 100; 2θ 35.04, I 26; 2θ 37.11, I 25; 2θ 75.31, I 16; 2θ 62.86, I 16; 2θ 68.72, I 14; 2θ 51.96, I 13; 2θ 77.04, I 12; 2θ 45.19, I 7; 2θ 78.56, I 3